For PuMoO5, DFT lattice parameters and positions (PBE+U) gives the simulated X-ray powder pattern in this record (CuKα).
Kinematic intensities with the Lorentz-polarization factor, no thermal factor.

Cell: 3.897 6.621 8.177 Å, 90.00 90.00 90.00°
Space group Immm (No. 71)
Inequivalent atoms, fractional coordinates:
Pu1 0.000 0.000 0.000 [2 per cell]
Mo1 0.000 0.000 0.500 [2 per cell]
O1 0.000 0.000 0.276 [4 per cell]
O2 0.000 0.316 0.000 [4 per cell]
O3 0.000 0.500 0.500 [2 per cell]

Principal peaks in the range 2θ = 10–80°, by angle:
d 5.146, 17.2°, I 41, (0 1 1)
d 4.089, 21.7°, I 90, (0 0 2)
d 3.359, 26.5°, I 100, (1 1 0)
d 3.310, 26.9°, I 56, (0 2 0)
d 2.595, 34.6°, I 66, (1 1 2)
d 2.573, 34.9°, I 38, (0 2 2)
d 1.746, 52.4°, I 30, (1 1 4)
d 1.739, 52.6°, I 44, (0 2 4)